# 1
BaPmNi10: calculated powder diffraction line list (Cu Ka), based on a DFT-relaxed cell (PBE, Alexandria).
Neutral-atom scattering factors, no anomalous dispersion.

Peak list (10 most intense, 2θ from 5° to 70°, in order of rising 2θ)
d/Å  I_rel  h k l
2.939  43  1 1 1
2.540  20  0 1 3
2.533  10  0 2 0
2.202  12  0 0 4
2.195  23  0 2 2
2.135  100  1 2 0
1.976  25  2 0 0
1.559  13  2 2 0
1.469  19  2 0 4
1.373  15  1 3 3

Atomic structure:
Unit cell a=3.9522 b=5.0654 c=8.8072 alpha=90.00 beta=90.00 gamma=90.00
Space group Pmmm (No. 47)
Inequivalent atoms, fractional coordinates:
Ba 0.0000 0.0000 0.0000
Pm 0.0000 0.5000 0.5000
Ni 0.0000 0.0000 0.3426
Ni 0.0000 0.5000 0.1786
Ni 0.5000 0.0000 0.5000
Ni 0.5000 0.2565 0.2621
Ni 0.5000 0.5000 0.0000

***

# 2
BaPmNi2Sb2: calculated powder diffraction line list (Cu Ka), based on a DFT-relaxed cell (PBE, Alexandria).
Neutral-atom scattering factors, no anomalous dispersion.

Peak list (10 most intense, 2θ from 5° to 70°, in order of rising 2θ)
d/Å  I_rel  h k l
9.101  8  0 0 1
3.518  8  0 1 1
2.923  100  1 0 2
2.374  7  0 1 3
2.275  12  0 0 4
2.202  47  1 1 0
1.759  22  0 2 2
1.582  23  1 1 4
1.409  7  1 0 6
1.374  19  2 1 2

Atomic structure:
Unit cell a=4.4047 b=4.4047 c=9.1007 alpha=90.00 beta=90.00 gamma=120.00
Space group P-3m1 (No. 164)
Inequivalent atoms, fractional coordinates:
Ba 0.0000 0.0000 0.0000
Pm 0.0000 0.0000 0.5000
Ni 0.3333 0.6667 0.7078
Sb 0.3333 0.6667 0.2730

***

# 3
BaPrNiS4: calculated powder diffraction line list (Cu Ka), based on a DFT-relaxed cell (PBE, Alexandria).
Neutral-atom scattering factors, no anomalous dispersion.

Peak list (10 most intense, 2θ from 5° to 70°, in order of rising 2θ)
d/Å  I_rel  h k l
3.369  100  1 3 1
3.284  52  0 0 2
3.217  50  2 0 0
2.496  33  1 5 1
2.461  35  0 4 2
2.432  34  2 4 0
2.298  74  2 0 2
1.912  21  1 3 3
1.685  22  2 6 2
1.445  24  4 0 2

Atomic structure:
Unit cell a=6.4340 b=14.8617 c=6.5688 alpha=90.00 beta=90.00 gamma=90.00
Space group Cmcm (No. 63)
Inequivalent atoms, fractional coordinates:
Ba 0.0000 0.1040 0.2500
Pr 0.0000 0.3783 0.2500
Ni 0.0000 0.2519 0.7500
S 0.0000 0.1001 0.7500
S 0.0000 0.4276 0.7500
S 0.2500 0.2500 0.0000

***

# 4
Ba2NiPt: calculated powder diffraction line list (Cu Ka), based on a DFT-relaxed cell (PBE, Alexandria).
Neutral-atom scattering factors, no anomalous dispersion.

Peak list (10 most intense, 2θ from 5° to 70°, in order of rising 2θ)
d/Å  I_rel  h k l
5.733  35  0 0 2
3.150  100  1 1 1
2.959  81  0 1 3
2.488  58  1 1 3
2.432  32  1 0 4
2.337  32  0 2 0
2.298  31  2 0 0
1.815  39  2 1 3
1.765  22  1 0 6
1.638  22  2 2 0

Atomic structure:
Unit cell a=4.5954 b=4.6730 c=11.4666 alpha=90.00 beta=90.00 gamma=90.00
Space group Amm2 (No. 38)
Inequivalent atoms, fractional coordinates:
Ba 0.0000 0.0000 0.0000
Ba 0.5000 0.0000 0.2853
Ni 0.0000 0.0000 0.6802
Pt 0.5000 0.0000 0.5939

***

# 5
BaPuNiS4: calculated powder diffraction line list (Cu Ka), based on a DFT-relaxed cell (PBE, Alexandria).
Neutral-atom scattering factors, no anomalous dispersion.

Peak list (10 most intense, 2θ from 5° to 70°, in order of rising 2θ)
d/Å  I_rel  h k l
8.230  70  0 0 1
4.272  100  1 1 0
3.362  44  0 1 2
3.312  49  1 1 -2
3.138  33  2 0 0
2.946  38  2 0 -2
2.916  51  0 2 0
2.706  55  1 1 2
2.629  44  2 1 -2
2.136  48  2 2 0

Atomic structure:
Unit cell a=6.5640 b=5.8318 c=8.6074 alpha=90.00 beta=107.04 gamma=90.00
Space group P2_1/m (No. 11)
Inequivalent atoms, fractional coordinates:
Ba 0.2372 0.2500 0.4372
Pu 0.2465 0.2500 0.9437
Ni 0.2699 0.7500 0.1709
S 0.0670 0.7500 0.3415
S 0.0751 0.7500 0.9178
S 0.4830 0.5128 0.7812

***

# 6
BaNiS: calculated powder diffraction line list (Cu Ka), based on a DFT-relaxed cell (PBE, Alexandria).
Neutral-atom scattering factors, no anomalous dispersion.

Peak list (10 most intense, 2θ from 5° to 70°, in order of rising 2θ)
d/Å  I_rel  h k l
3.607  33  1 1 0
2.973  81  0 2 2
2.782  100  1 1 2
2.741  13  0 1 3
2.245  42  1 3 0
2.185  20  0 0 4
2.014  19  2 0 0
1.667  28  2 2 2
1.566  22  1 3 4
1.423  13  1 5 2

Atomic structure:
Unit cell a=4.0273 b=8.1120 c=8.7387 alpha=90.00 beta=90.00 gamma=90.00
Space group Immm (No. 71)
Inequivalent atoms, fractional coordinates:
Ba 0.0000 0.0000 0.2280
Ni 0.0000 0.3369 0.0000
S 0.0000 0.2619 0.5000